# 1
The following is a computed XRD peak list of Rb3LiZn2Mo4O16. It was derived from a crystal structure in the Materials Project, relaxed with GGA+U, using Cu Kα, 1.54184 Å.
Lines closer than 0.1° are merged.

Crystal structure
```
Rb3LiZn2Mo4O16
1.0
-6.0722 6.0722 6.0353
6.0722 -6.0722 6.0353
6.0722 6.0722 -6.0353
Rb Li Zn Mo O
6 2 4 8 32
direct
0.0000 0.0000 0.0000 Rb
0.2517 0.6250 0.1267 Rb
0.3750 0.5017 0.6267 Rb
0.4983 0.1250 0.8733 Rb
0.7500 0.2500 0.5000 Rb
0.8750 0.7483 0.3733 Rb
0.2500 0.7500 0.5000 Li
0.5000 0.5000 0.0000 Li
0.9996 0.1250 0.3746 Zn
0.3750 0.0004 0.1254 Zn
0.7504 0.6250 0.6254 Zn
0.8750 0.2496 0.8746 Zn
0.1261 0.1607 0.7503 Mo
0.1258 0.6604 0.7497 Mo
0.3396 0.0893 0.4654 Mo
0.4104 0.3758 0.2497 Mo
0.6242 0.8739 0.0346 Mo
0.6239 0.8742 0.5346 Mo
0.8393 0.5896 0.9654 Mo
0.9107 0.3761 0.2503 Mo
0.0065 0.7574 0.1323 O
0.0496 0.5713 0.3164 O
0.0585 0.2354 0.8831 O
0.1249 0.4926 0.7492 O
0.1258 0.9935 0.7508 O
0.1926 0.8020 0.9496 O
0.1980 0.1477 0.3906 O
0.2426 0.3749 0.2492 O
0.2549 0.7332 0.6836 O
0.2668 0.9504 0.5217 O
0.3213 0.2996 0.8164 O
0.3523 0.1754 0.1169 O
0.3977 0.0146 0.3231 O
0.4287 0.7451 0.4783 O
0.4832 0.5049 0.1836 O
0.4951 0.6787 0.9783 O
0.5074 0.2565 0.6323 O
0.5520 0.4426 0.4496 O
0.5574 0.0071 0.1094 O
0.6242 0.8751 0.3677 O
0.6251 0.8742 0.8677 O
0.6915 0.0746 0.6769 O
0.7004 0.5168 0.0217 O
0.7435 0.3758 0.2508 O
0.7571 0.8074 0.6094 O
0.7646 0.6477 0.8231 O
0.8246 0.9415 0.1769 O
0.8523 0.2429 0.0504 O
0.8977 0.4480 0.8906 O
0.9254 0.6023 0.6169 O
0.9854 0.3085 0.3831 O
0.9929 0.1023 0.5504 O
```

Largest 8 diffraction maxima, low angle first, 5 to 70 degrees two-theta:
Position (°2θ)  intensity
17.9  10
27.5  100
33.0  10
34.7  9
40.7  13
40.9  7
51.0  9
52.3  10


# 2
The following is a computed XRD peak list of LiScMo3O8. It was derived from a crystal structure in the Materials Project, relaxed with GGA+U, using Cu Kα, 1.54184 Å.
Lines closer than 0.1° are merged.

Crystal structure
```
LiScMo3O8
1.0
6.1891 0.0000 0.0000
-3.0946 5.3599 0.0000
0.0000 0.0000 4.8124
Li Sc Mo O
1 1 3 8
direct
0.0000 0.0000 0.0000 Li
0.3333 0.6667 0.9254 Sc
0.3389 0.1695 0.4331 Mo
0.8305 0.1695 0.4331 Mo
0.8305 0.6611 0.4331 Mo
0.0000 0.0000 0.6423 O
0.9998 0.4999 0.6518 O
0.1581 0.3162 0.1882 O
0.1581 0.8419 0.1882 O
0.5001 0.0002 0.6518 O
0.5001 0.4999 0.6518 O
0.6667 0.3333 0.2081 O
0.6838 0.8419 0.1882 O
```

Largest 8 diffraction maxima, low angle first, 5 to 70 degrees two-theta:
Position (°2θ)  intensity
18.4  100
24.9  87
33.4  70
34.5  37
38.4  93
48.8  25
51.0  86
59.8  34


# 3
The following is a computed XRD peak list of Li2UMo2O10. It was derived from a crystal structure in the Materials Project, relaxed with GGA+U, using Cu Kα, 1.54184 Å.
Lines closer than 0.1° are merged.

Crystal structure
```
Li2UMo2O10
1.0
5.5086 0.0000 0.0000
-1.5067 5.7407 0.0000
-1.4699 -3.0954 7.6537
Li U Mo O
2 1 2 10
direct
0.0223 0.2845 0.0755 Li
0.9777 0.7155 0.9245 Li
0.5000 0.5000 0.5000 U
0.4173 0.1490 0.7999 Mo
0.5827 0.8510 0.2001 Mo
0.1922 0.0719 0.9178 O
0.1922 0.4345 0.3398 O
0.2798 0.6392 0.0504 O
0.2982 0.2924 0.6525 O
0.4681 0.8650 0.6711 O
0.5319 0.1350 0.3289 O
0.7018 0.7076 0.3475 O
0.7202 0.3608 0.9496 O
0.8078 0.5655 0.6602 O
0.8078 0.9281 0.0822 O
```

Largest 8 diffraction maxima, low angle first, 5 to 70 degrees two-theta:
Position (°2θ)  intensity
11.6  24
17.3  88
23.0  51
23.4  24
23.7  100
28.3  35
29.5  21
48.4  20


# 4
The following is a computed XRD peak list of LiVMoO6. It was derived from a crystal structure in the Materials Project, relaxed with GGA+U, using Cu Kα, 1.54184 Å.
Lines closer than 0.1° are merged.

Crystal structure
```
LiVMoO6
1.0
4.7325 -1.8590 0.0000
4.7325 1.8590 0.0000
-2.5752 0.0000 6.2742
Li V Mo O
1 1 1 6
direct
0.0000 0.0000 0.0000 Li
0.8021 0.8021 0.3263 V
0.1744 0.1744 0.6231 Mo
0.0153 0.0153 0.6993 O
0.2950 0.2950 0.4109 O
0.3291 0.3291 0.8658 O
0.6581 0.6581 0.0922 O
0.6811 0.6811 0.5414 O
0.9677 0.9677 0.2799 O
```

Largest 8 diffraction maxima, low angle first, 5 to 70 degrees two-theta:
Position (°2θ)  intensity
14.1  100
20.3  51
26.0  28
27.8  94
28.0  35
29.0  38
40.3  25
49.0  26


# 5
The following is a computed XRD peak list of LiYMo2O8. It was derived from a crystal structure in the Materials Project, relaxed with GGA+U, using Cu Kα, 1.54184 Å.
Lines closer than 0.1° are merged.

Crystal structure
```
LiYMo2O8
1.0
5.2762 0.0000 0.0000
-2.6252 6.2688 0.0000
-1.7272 -2.8810 9.9632
Li Y Mo O
2 2 4 16
direct
0.1647 0.1224 0.3743 Li
0.8353 0.8776 0.6257 Li
0.1236 0.2707 0.9388 Y
0.8764 0.7293 0.0612 Y
0.3368 0.7995 0.8210 Mo
0.3983 0.6531 0.2956 Mo
0.6017 0.3469 0.7044 Mo
0.6632 0.2005 0.1790 Mo
0.1236 0.6168 0.9138 O
0.1749 0.4242 0.3424 O
0.2051 0.8200 0.2639 O
0.2078 0.0035 0.7940 O
0.2949 0.0631 0.0677 O
0.3005 0.1832 0.5691 O
0.3763 0.6766 0.6702 O
0.4806 0.5442 0.1357 O
0.5194 0.4558 0.8643 O
0.6237 0.3234 0.3298 O
0.6995 0.8168 0.4309 O
0.7051 0.9369 0.9323 O
0.7922 0.9965 0.2060 O
0.7949 0.1800 0.7361 O
0.8251 0.5758 0.6576 O
0.8764 0.3832 0.0862 O
```

Largest 8 diffraction maxima, low angle first, 5 to 70 degrees two-theta:
Position (°2θ)  intensity
8.9  100
17.8  18
25.0  48
27.9  47
28.6  58
29.4  45
29.7  17
31.9  20


# 6
The following is a computed XRD peak list of LiY5Mo2O12. It was derived from a crystal structure in the Materials Project, relaxed with GGA+U, using Cu Kα, 1.54184 Å.
Lines closer than 0.1° are merged.

Crystal structure
```
LiY5Mo2O12
1.0
6.0032 0.0000 0.0000
3.0013 6.2743 0.0000
0.0025 2.1425 7.0939
Li Y Mo O
1 5 2 12
direct
0.0000 0.0000 0.0000 Li
0.1476 0.7000 0.7719 Y
0.1610 0.6729 0.3234 Y
0.5374 0.9206 0.4963 Y
0.5387 0.9191 0.9671 Y
0.8368 0.3211 0.6281 Y
0.0865 0.3151 0.1354 Mo
0.5939 0.3151 0.1354 Mo
0.2398 0.0031 0.7171 O
0.2612 0.9761 0.2098 O
0.3455 0.3042 0.3393 O
0.3448 0.3061 0.9465 O
0.4008 0.6492 0.0465 O
0.4382 0.6230 0.5606 O
0.7517 0.0028 0.7163 O
0.7580 0.9760 0.2102 O
0.8367 0.3219 0.3201 O
0.8420 0.3115 0.9336 O
0.9339 0.6227 0.5608 O
0.9458 0.6492 0.0465 O
```

Largest 8 diffraction maxima, low angle first, 5 to 70 degrees two-theta:
Position (°2θ)  intensity
26.8  100
28.3  91
29.8  27
32.4  34
32.8  28
39.4  47
45.3  28
55.0  32


# 7
The following is a computed XRD peak list of LiYMo2O8. It was derived from a crystal structure in the Materials Project, relaxed with GGA+U, using Cu Kα, 1.54184 Å.
Lines closer than 0.1° are merged.

Crystal structure
```
LiYMo2O8
1.0
-2.6021 2.6021 5.6208
2.6021 -2.6021 5.6208
2.6021 2.6021 -5.6208
Li Y Mo O
1 1 2 8
direct
0.0000 0.0000 0.0000 Li
0.7500 0.2500 0.5000 Y
0.2500 0.7500 0.5000 Mo
0.5000 0.5000 0.0000 Mo
0.0053 0.4159 0.0901 O
0.0848 0.9947 0.4105 O
0.1645 0.5644 0.9064 O
0.3258 0.9152 0.9099 O
0.4356 0.3419 0.6000 O
0.5841 0.6742 0.5895 O
0.6581 0.2581 0.0936 O
0.7419 0.8355 0.4000 O
```

Largest 8 diffraction maxima, low angle first, 5 to 70 degrees two-theta:
Position (°2θ)  intensity
18.8  36
29.0  100
29.4  14
34.5  14
47.6  33
49.5  14
55.0  16
58.4  26


# 8
The following is a computed XRD peak list of LiY5Mo2O12. It was derived from a crystal structure in the Materials Project, relaxed with GGA+U, using Cu Kα, 1.54184 Å.
Lines closer than 0.1° are merged.

Crystal structure
```
LiY5Mo2O12
1.0
5.9267 0.0000 0.0000
-2.9582 6.4100 0.0000
-0.0401 -2.1936 7.0511
Li Y Mo O
1 5 2 12
direct
0.0000 0.0000 0.0000 Li
0.1490 0.3021 0.7982 Y
0.4379 0.8746 0.9421 Y
0.4472 0.8958 0.4767 Y
0.8280 0.6525 0.1373 Y
0.8344 0.6713 0.6532 Y
0.3919 0.2842 0.3023 Mo
0.9052 0.2841 0.3042 Mo
0.0406 0.5820 0.8702 O
0.0492 0.6144 0.3891 O
0.1438 0.2759 0.4921 O
0.1614 0.2975 0.1050 O
0.2245 0.9401 0.1979 O
0.2305 0.9673 0.7383 O
0.5456 0.5850 0.8721 O
0.5800 0.6299 0.3910 O
0.6362 0.2693 0.4929 O
0.6469 0.2824 0.1139 O
0.7375 0.9534 0.1933 O
0.7508 0.9751 0.7471 O
```

Largest 8 diffraction maxima, low angle first, 5 to 70 degrees two-theta:
Position (°2θ)  intensity
26.5  100
28.4  51
28.6  51
32.6  28
32.9  44
39.8  34
44.4  30
49.4  35